Computed powder diffractogram
Compound: SrMo2Se2O11
Radiation: a wavelength of 1.5418 Å
Structure: a crystal structure in Alexandria, relaxed with GGA+U
Neutral-atom scattering factors, no anomalous dispersion.

Atomic structure:
Cell: 8.2581 8.2882 8.9601 Å, 66.06 83.64 67.66°
Space group P-1 (No. 2)
Inequivalent atoms, fractional coordinates:
Sr: 0.2252 0.0722 0.4755 (multiplicity 2)
Mo: 0.0291 0.7862 0.9515 (multiplicity 2)
Mo: 0.3795 0.2171 0.8061 (multiplicity 2)
Se: 0.2228 0.7491 0.3123 (multiplicity 2)
Se: 0.4474 0.7539 0.8546 (multiplicity 2)
O: 0.0401 0.2441 0.2092 (multiplicity 2)
O: 0.0924 0.9012 0.1271 (multiplicity 2)
O: 0.1002 0.8260 0.4499 (multiplicity 2)
O: 0.1731 0.2231 0.9242 (multiplicity 2)
O: 0.1874 0.5702 0.0696 (multiplicity 2)
O: 0.2204 0.8752 0.8056 (multiplicity 2)
O: 0.2867 0.2562 0.6218 (multiplicity 2)
O: 0.3688 0.8668 0.2844 (multiplicity 2)
O: 0.3937 0.4307 0.7806 (multiplicity 2)
O: 0.4770 0.9042 0.9370 (multiplicity 2)
O: 0.4859 0.1661 0.3367 (multiplicity 2)

Largest 6 diffraction maxima, in order of rising 2θ, 2θ = 10–90°:
2θ/deg, I/Imax, (hkl)
10.8, 16, 0 0 1
12.6, 37, 0 1 0
25.0, 30, 1 2 2
25.3, 100, 2 0 -1
26.3, 21, 2 1 -1
34.1, 12, 2 3 1